For RbBaTa2O7, DFT lattice parameters and positions (GGA-PBE) gives the simulated PXRD pattern in this record (Cu Kα (weighted mean of Kα1 and Kα2)).
Neutral-atom scattering factors, no anomalous dispersion.

Peak list (10 most intense, 15 to 90 degrees two-theta, most intense first)
| 2θ (°) | I (rel.) |
| --- | --- |
| 28.9 | 100 |
| 24.9 | 50 |
| 22.6 | 40 |
| 54.8 | 35 |
| 49.4 | 33 |
| 45.5 | 32 |
| 32.6 | 32 |
| 31.7 | 28 |
| 34.2 | 20 |
| 21.9 | 18 |

Crystal structure
Cell: 3.988 3.988 24.364 Å, 90.00 90.00 90.00°
Space group I-4m2 (No. 119)
Inequivalent atoms, fractional coordinates:
Rb (0.000, 0.000, 0.000) (multiplicity 2)
Ba (0.000, 0.500, 0.750) (multiplicity 2)
Ta (0.000, 0.500, 0.151) (multiplicity 4)
O (0.000, 0.000, 0.165) (multiplicity 4)
O (0.000, 0.000, 0.334) (multiplicity 4)
O (0.000, 0.500, 0.077) (multiplicity 4)
O (0.000, 0.500, 0.250) (multiplicity 2)